No. 1
Simulated XRD peak list of BaTi2P4O14 for CuKα, from a DFT-relaxed cell (PBE, the Materials Project).

The 8 most intense peaks (2θ = 10–90°), in order of rising 2θ:
| two_theta | d [Å] | intensity |
| --- | --- | --- |
| 13.67 | 6.477 | 61 |
| 23.21 | 3.832 | 41 |
| 24.58 | 3.621 | 100 |
| 26.42 | 3.374 | 43 |
| 27.15 | 3.285 | 51 |
| 28.06 | 3.180 | 69 |
| 30.13 | 2.966 | 53 |
| 34.19 | 2.623 | 42 |

Crystal structure
```
data_BaTi2P4O14
_chemical_formula_sum 'Ba4 Ti8 P16 O56'
_symmetry_space_group_name_H-M 'C 1 2/c 1'
_symmetry_Int_Tables_number 15
_symmetry_space_group_name_Hall '-C 2yc'
_cell_length_a 10.763
_cell_length_b 10.780
_cell_length_c 10.025
_cell_angle_alpha 90.00
_cell_angle_beta 102.75
_cell_angle_gamma 90.00
loop_
_atom_site_label
_atom_site_type_symbol
_atom_site_fract_x
_atom_site_fract_y
_atom_site_fract_z
Ba1 Ba 0.250 0.250 0.000
Ti1 Ti 0.000 0.000 0.000
Ti2 Ti 0.000 0.452 0.250
P1 P 0.061 0.314 0.556
P2 P 0.220 0.043 0.297
O1 O 0.025 0.179 0.573
O2 O 0.033 0.399 0.891
O3 O 0.070 0.344 0.410
O4 O 0.140 0.012 0.400
O5 O 0.141 0.079 0.156
O6 O 0.182 0.440 0.202
O7 O 0.201 0.330 0.656
```

=====

No. 2
Simulated XRD peak list of Ba2EuMgCu4O8 for CuKα, from a DFT-relaxed cell (PBE, the Materials Project).

The 8 most intense peaks (2θ = 10–90°), in order of rising 2θ:
| two_theta | d [Å] | intensity |
| --- | --- | --- |
| 10.53 | 8.402 | 41 |
| 25.60 | 3.480 | 36 |
| 28.26 | 3.158 | 41 |
| 29.46 | 3.032 | 37 |
| 32.87 | 2.725 | 100 |
| 33.17 | 2.701 | 78 |
| 35.56 | 2.524 | 70 |
| 46.44 | 1.955 | 37 |

Crystal structure
```
data_Ba2EuMgCu4O8
_chemical_formula_sum 'Ba2 Eu1 Mg1 Cu4 O8'
_symmetry_space_group_name_H-M 'P 1 m 1'
_symmetry_Int_Tables_number 6
_symmetry_space_group_name_Hall 'P -2y'
_cell_length_a 3.910
_cell_length_b 3.824
_cell_length_c 16.912
_cell_angle_alpha 90.00
_cell_angle_beta 96.48
_cell_angle_gamma 90.00
loop_
_atom_site_label
_atom_site_type_symbol
_atom_site_fract_x
_atom_site_fract_y
_atom_site_fract_z
Ba1 Ba 0.000 0.000 0.000
Ba2 Ba 0.322 0.000 0.636
Eu1 Eu 0.213 0.000 0.414
Mg1 Mg 0.123 0.000 0.228
Cu1 Cu 0.442 0.500 0.881
Cu2 Cu 0.648 0.500 0.279
Cu3 Cu 0.760 0.500 0.508
Cu4 Cu 0.884 0.500 0.762
O1 O 0.156 0.500 0.294
O2 O 0.255 0.500 0.498
O3 O 0.387 0.500 0.769
O4 O 0.497 0.500 0.992
O5 O 0.611 0.000 0.203
O6 O 0.752 0.000 0.492
O7 O 0.829 0.500 0.652
O8 O 0.939 0.500 0.876
```

=====

No. 3
Simulated XRD peak list of GaHO2 for CuKα, from a DFT-relaxed cell (PBE, the Materials Project).

The 8 most intense peaks (2θ = 10–90°), in order of rising 2θ:
| two_theta | d [Å] | intensity |
| --- | --- | --- |
| 21.42 | 4.149 | 100 |
| 33.45 | 2.679 | 50 |
| 34.80 | 2.578 | 33 |
| 36.21 | 2.481 | 23 |
| 36.84 | 2.440 | 84 |
| 41.42 | 2.180 | 15 |
| 53.61 | 1.709 | 40 |
| 59.29 | 1.558 | 32 |

Crystal structure
```
data_GaHO2
_chemical_formula_sum 'Ga4 H4 O8'
_symmetry_space_group_name_H-M 'P n m a'
_symmetry_Int_Tables_number 62
_symmetry_space_group_name_Hall '-P 2ac 2n'
_cell_length_a 9.923
_cell_length_b 3.017
_cell_length_c 4.568
_cell_angle_alpha 90.00
_cell_angle_beta 90.00
_cell_angle_gamma 90.00
loop_
_atom_site_label
_atom_site_type_symbol
_atom_site_fract_x
_atom_site_fract_y
_atom_site_fract_z
Ga1 Ga 0.145 0.250 0.051
H1 H 0.088 0.750 0.595
O1 O 0.055 0.750 0.804
O2 O 0.194 0.750 0.301
```

=====

No. 4
Simulated XRD peak list of CuO for CuKα, from a DFT-relaxed cell (PBE, the Materials Project).

The 8 most intense peaks (2θ = 10–90°), in order of rising 2θ:
| two_theta | d [Å] | intensity |
| --- | --- | --- |
| 20.23 | 4.389 | 65 |
| 26.29 | 3.390 | 100 |
| 32.25 | 2.776 | 34 |
| 33.40 | 2.683 | 44 |
| 39.36 | 2.289 | 64 |
| 43.75 | 2.069 | 40 |
| 44.65 | 2.030 | 25 |
| 58.24 | 1.584 | 28 |

Crystal structure
```
data_CuO
_chemical_formula_sum 'Cu8 O8'
_symmetry_space_group_name_H-M 'I 4/m m m'
_symmetry_Int_Tables_number 139
_symmetry_space_group_name_Hall '-I 4 2'
_cell_length_a 8.778
_cell_length_b 8.778
_cell_length_c 3.675
_cell_angle_alpha 90.00
_cell_angle_beta 90.00
_cell_angle_gamma 90.00
loop_
_atom_site_label
_atom_site_type_symbol
_atom_site_fract_x
_atom_site_fract_y
_atom_site_fract_z
Cu1 Cu 0.167 0.167 0.000
O1 O 0.000 0.273 0.000
```

=====

No. 5
Simulated XRD peak list of CuAuClO2 for CuKα, from a DFT-relaxed cell (PBE, the Materials Project).

The 8 most intense peaks (2θ = 10–90°), in order of rising 2θ:
| two_theta | d [Å] | intensity |
| --- | --- | --- |
| 17.28 | 5.133 | 100 |
| 20.67 | 4.298 | 37 |
| 25.51 | 3.492 | 49 |
| 26.49 | 3.365 | 33 |
| 29.54 | 3.024 | 30 |
| 31.31 | 2.857 | 28 |
| 32.35 | 2.767 | 49 |
| 36.27 | 2.477 | 50 |

Crystal structure
```
data_CuAuClO2
_chemical_formula_sum 'Cu2 Au2 Cl2 O4'
_symmetry_space_group_name_H-M 'P 1'
_symmetry_Int_Tables_number 1
_symmetry_space_group_name_Hall 'P 1'
_cell_length_a 4.358
_cell_length_b 5.240
_cell_length_c 7.767
_cell_angle_alpha 78.41
_cell_angle_beta 80.45
_cell_angle_gamma 88.29
loop_
_atom_site_label
_atom_site_type_symbol
_atom_site_fract_x
_atom_site_fract_y
_atom_site_fract_z
Cu1 Cu 0.000 0.000 0.000
Cu2 Cu 0.497 0.498 0.000
Au1 Au 0.380 0.989 0.290
Au2 Au 0.641 0.008 0.712
Cl1 Cl 0.339 0.261 0.510
Cl2 Cl 0.691 0.740 0.495
O1 O 0.163 0.246 0.112
O2 O 0.283 0.763 0.110
O3 O 0.729 0.244 0.882
O4 O 0.843 0.747 0.892
```

=====

No. 6
Simulated XRD peak list of TbFeGe2 for CuKα, from a DFT-relaxed cell (PBE, the Materials Project).

The 8 most intense peaks (2θ = 10–90°), in order of rising 2θ:
| two_theta | d [Å] | intensity |
| --- | --- | --- |
| 30.33 | 2.947 | 20 |
| 34.17 | 2.624 | 100 |
| 34.90 | 2.570 | 38 |
| 39.18 | 2.299 | 27 |
| 41.98 | 2.152 | 29 |
| 43.37 | 2.086 | 27 |
| 55.70 | 1.650 | 19 |
| 71.71 | 1.316 | 21 |

Crystal structure
```
data_TbFeGe2
_chemical_formula_sum 'Tb4 Fe4 Ge8'
_symmetry_space_group_name_H-M 'C m c m'
_symmetry_Int_Tables_number 63
_symmetry_space_group_name_Hall '-C 2c 2'
_cell_length_a 4.172
_cell_length_b 16.317
_cell_length_c 4.304
_cell_angle_alpha 90.00
_cell_angle_beta 90.00
_cell_angle_gamma 90.00
loop_
_atom_site_label
_atom_site_type_symbol
_atom_site_fract_x
_atom_site_fract_y
_atom_site_fract_z
Tb1 Tb 0.000 0.107 0.250
Fe1 Fe 0.000 0.316 0.250
Ge1 Ge 0.000 0.253 0.750
Ge2 Ge 0.000 0.456 0.250
```

=====

No. 7
Simulated XRD peak list of ZrSn for CuKα, from a DFT-relaxed cell (PBE, the Materials Project).

The 8 most intense peaks (2θ = 10–90°), in order of rising 2θ:
| two_theta | d [Å] | intensity |
| --- | --- | --- |
| 33.86 | 2.648 | 100 |
| 34.57 | 2.595 | 100 |
| 36.11 | 2.488 | 33 |
| 38.52 | 2.337 | 42 |
| 44.16 | 2.051 | 23 |
| 53.82 | 1.703 | 21 |
| 60.01 | 1.542 | 19 |
| 67.15 | 1.394 | 15 |

Crystal structure
```
data_ZrSn
_chemical_formula_sum 'Zr6 Sn6'
_symmetry_space_group_name_H-M 'P 1 21/m 1'
_symmetry_Int_Tables_number 11
_symmetry_space_group_name_Hall '-P 2yb'
_cell_length_a 7.802
_cell_length_b 4.675
_cell_length_c 8.208
_cell_angle_alpha 90.00
_cell_angle_beta 106.95
_cell_angle_gamma 90.00
loop_
_atom_site_label
_atom_site_type_symbol
_atom_site_fract_x
_atom_site_fract_y
_atom_site_fract_z
Zr1 Zr 0.000 0.250 0.128
Zr2 Zr 0.036 0.250 0.635
Zr3 Zr 0.356 0.250 0.464
Sn1 Sn 0.279 0.750 0.224
Sn2 Sn 0.296 0.750 0.675
Sn3 Sn 0.337 0.250 0.973
```

=====

No. 8
Simulated XRD peak list of Ba2SrI6 for CuKα, from a DFT-relaxed cell (PBE, the Materials Project).

The 8 most intense peaks (2θ = 10–90°), in order of rising 2θ:
| two_theta | d [Å] | intensity |
| --- | --- | --- |
| 25.09 | 3.549 | 92 |
| 25.87 | 3.444 | 49 |
| 27.92 | 3.196 | 100 |
| 28.26 | 3.157 | 40 |
| 28.41 | 3.142 | 49 |
| 29.25 | 3.053 | 82 |
| 30.26 | 2.953 | 66 |
| 30.85 | 2.898 | 41 |

Crystal structure
```
data_Ba2SrI6
_chemical_formula_sum 'Ba8 Sr4 I24'
_symmetry_space_group_name_H-M 'C 1 2/c 1'
_symmetry_Int_Tables_number 15
_symmetry_space_group_name_Hall '-C 2yc'
_cell_length_a 9.330
_cell_length_b 16.159
_cell_length_c 10.453
_cell_angle_alpha 90.00
_cell_angle_beta 92.30
_cell_angle_gamma 90.00
loop_
_atom_site_label
_atom_site_type_symbol
_atom_site_fract_x
_atom_site_fract_y
_atom_site_fract_z
Ba1 Ba 0.054 0.164 0.492
Sr1 Sr 0.000 0.452 0.250
I1 I 0.071 0.378 0.552
I2 I 0.171 0.021 0.148
I3 I 0.228 0.286 0.212
```